For MgH4C4S4O12F12, a GGA-PBE-relaxed structure gives the calculated powder XRD pattern in this record (CuKα).
Kinematic intensities with the Lorentz-polarization factor, no thermal factor.

Structural model:
Cell: 5.385 9.045 11.804 Å, 93.12 90.64 103.83°
Positions (direct):
Mg 0.000 0.000 0.000
H 0.403 0.964 0.900
H 0.411 0.989 0.408
H 0.924 0.503 0.416
H 0.959 0.536 0.929
C 0.034 0.246 0.713
C 0.346 0.218 0.217
C 0.403 0.606 0.114
C 0.833 0.721 0.604
S 0.314 0.718 0.972
S 0.475 0.226 0.367
S 0.867 0.230 0.852
S 0.982 0.744 0.461
O 0.019 0.641 0.970
O 0.062 0.202 0.933
O 0.068 0.591 0.443
O 0.216 0.863 0.477
O 0.239 0.898 0.924
O 0.270 0.238 0.441
O 0.447 0.668 0.878
O 0.548 0.070 0.372
O 0.652 0.098 0.833
O 0.709 0.343 0.367
O 0.787 0.757 0.381
O 0.804 0.376 0.874
F 0.009 0.714 0.683
F 0.121 0.120 0.690
F 0.189 0.313 0.213
F 0.204 0.074 0.183
F 0.232 0.369 0.718
F 0.284 0.650 0.205
F 0.534 0.258 0.144
F 0.647 0.591 0.598
F 0.650 0.641 0.142
F 0.697 0.942 0.068
F 0.731 0.840 0.629
F 0.866 0.259 0.631

Most intense lines, 10° ≤ 2θ ≤ 90°, low angle first:
d 4.823, 18.4°, I = 54.1
d 4.762, 18.6°, I = 73.1
d 4.629, 19.2°, I = 52.4
d 4.384, 20.3°, I = 100.0
d 3.855, 23.1°, I = 51.9
d 3.800, 23.4°, I = 52.8

For MgH4C4S4O12F12, a GGA-PBE-relaxed structure gives the calculated powder XRD pattern in this record (CuKα).
Kinematic intensities with the Lorentz-polarization factor, no thermal factor.

Structural model:
Cell: 5.443 9.210 12.608 Å, 92.55 91.67 104.66°
Positions (direct):
Mg 0.000 0.000 0.000
H 0.009 0.011 0.286
H 0.038 0.008 0.726
H 0.511 0.505 0.294
H 0.533 0.513 0.726
C 0.130 0.773 0.561
C 0.438 0.701 0.114
C 0.577 0.321 0.916
C 0.908 0.239 0.455
S 0.061 0.251 0.322
S 0.461 0.283 0.773
S 0.589 0.737 0.251
S 0.977 0.767 0.694
O 0.146 0.101 0.316
O 0.165 0.762 0.774
O 0.226 0.168 0.776
O 0.291 0.370 0.338
O 0.386 0.432 0.750
O 0.401 0.764 0.321
O 0.659 0.585 0.269
O 0.668 0.262 0.712
O 0.743 0.651 0.679
O 0.827 0.848 0.241
O 0.871 0.257 0.242
O 0.899 0.919 0.696
F 0.081 0.236 0.532
F 0.220 0.650 0.547
F 0.224 0.588 0.114
F 0.323 0.897 0.561
F 0.378 0.827 0.084
F 0.399 0.360 0.975
F 0.599 0.664 0.045
F 0.625 0.195 0.953
F 0.717 0.113 0.454
F 0.792 0.433 0.923
F 0.815 0.360 0.471
F 0.958 0.775 0.483

Most intense lines, 10° ≤ 2θ ≤ 90°, low angle first:
d 5.272, 16.8°, I = 55.5
d 5.012, 17.7°, I = 72.8
d 4.776, 18.6°, I = 64.4
d 4.741, 18.7°, I = 100.0
d 4.449, 20.0°, I = 88.4
d 3.961, 22.4°, I = 64.4